# 1
Structure and computed X-ray diffraction stick pattern of GeBi2Au6 (a crystal structure in Alexandria, relaxed with GGA-PBE; a wavelength of 1.5418 Å).
No peak broadening, texture or thermal motion is included.

Principal peaks in the range 2θ = 15–90°, sorted by position:
(hkl)  2θ (°)  intensity
0 0 2  30.6  17
0 2 1  32.9  14
2 2 0  33.6  21
2 0 2  35.0  26
2 2 1  37.0  100
2 2 -2  46.1  19
6 2 0  60.0  20
5 1 3  66.8  9
6 2 -2  68.9  9
4 4 -1  72.7  13

Crystal structure
Lattice parameters (Å, degrees): 10.6753 6.1646 5.8400 90.00 90.06 90.00
Space group C2/m (No. 12)
Inequivalent atoms, fractional coordinates:
Ge: 0.0000 0.0000 0.0000 (multiplicity 2)
Bi: 0.1667 0.5000 0.8256 (multiplicity 4)
Au: 0.0892 0.2675 0.3135 (multiplicity 8)
Au: 0.1783 0.0000 0.6868 (multiplicity 4)

=====

# 2
Structure and computed X-ray diffraction stick pattern of Ge2Bi2Au5 (a crystal structure in Alexandria, relaxed with GGA-PBE; a wavelength of 1.5418 Å).
No peak broadening, texture or thermal motion is included.

Principal peaks in the range 2θ = 15–90°, sorted by position:
(hkl)  2θ (°)  intensity
2 0 1  23.7  56
3 1 -1  27.7  49
4 0 0  30.1  49
3 1 -2  31.3  75
3 1 1  36.3  72
0 2 0  38.5  100
3 1 -3  39.2  80
1 1 -3  40.3  45
5 1 0  42.7  59
1 1 3  47.0  57

Crystal structure
Lattice parameters (Å, degrees): 13.4284 4.6788 7.9855 90.00 117.97 90.00
Space group C2/m (No. 12)
Inequivalent atoms, fractional coordinates:
Ge: 0.1059 0.0000 0.2772 (multiplicity 4)
Bi: 0.1506 0.5000 0.7739 (multiplicity 4)
Au: 0.0000 0.5000 0.0000 (multiplicity 2)
Au: 0.1148 0.0000 0.9499 (multiplicity 4)
Au: 0.1735 0.5000 0.4211 (multiplicity 4)

=====

# 3
Structure and computed X-ray diffraction stick pattern of RbGeBiAu3 (a crystal structure in Alexandria, relaxed with GGA-PBE; a wavelength of 1.5418 Å).
No peak broadening, texture or thermal motion is included.

Principal peaks in the range 2θ = 15–90°, sorted by position:
(hkl)  2θ (°)  intensity
0 2 2  26.8  61
0 4 0  27.7  100
2 2 0  27.9  36
2 0 -2  33.1  89
2 0 2  33.8  69
3 1 0  37.2  35
2 4 -2  43.7  71
2 4 2  44.2  46
0 0 4  46.7  34
0 4 4  55.1  30

Crystal structure
Lattice parameters (Å, degrees): 7.3794 12.9014 7.7854 90.00 91.25 90.00
Space group C2/c (No. 15)
Inequivalent atoms, fractional coordinates:
Rb: 0.0000 0.2297 0.2500 (multiplicity 4)
Ge: 0.0000 0.0712 0.7500 (multiplicity 4)
Bi: 0.0000 0.4804 0.7500 (multiplicity 4)
Au: 0.0000 0.2643 0.7500 (multiplicity 4)
Au: 0.1991 0.0050 0.4978 (multiplicity 8)

=====

# 4
Structure and computed X-ray diffraction stick pattern of SiGeBi2Au6 (a crystal structure in Alexandria, relaxed with GGA-PBE; a wavelength of 1.5418 Å).
No peak broadening, texture or thermal motion is included.

Principal peaks in the range 2θ = 15–90°, sorted by position:
(hkl)  2θ (°)  intensity
1 0 2  25.3  53
0 2 2  28.3  94
1 2 2  32.6  67
2 0 2  37.7  65
2 2 0  37.9  100
1 2 3  39.7  21
0 4 0  40.9  52
2 2 2  43.1  21
0 2 4  45.3  40
2 4 2  56.8  39

Crystal structure
Lattice parameters (Å, degrees): 5.6366 8.8166 8.9978 90.00 90.00 90.00
Space group Pmmn (No. 59, origin choice 2)
Inequivalent atoms, fractional coordinates:
Si: 0.2500 0.2500 0.2501 (multiplicity 2)
Ge: 0.2500 0.7500 0.2212 (multiplicity 2)
Bi: 0.2500 0.0104 0.8109 (multiplicity 4)
Au: 0.0018 0.2500 0.0222 (multiplicity 4)
Au: 0.0040 0.7500 0.5095 (multiplicity 4)
Au: 0.2500 0.5030 0.3702 (multiplicity 4)

=====

# 5
Structure and computed X-ray diffraction stick pattern of Sr2Ge2BiAu6 (a crystal structure in Alexandria, relaxed with GGA-PBE; a wavelength of 1.5418 Å).
No peak broadening, texture or thermal motion is included.

Principal peaks in the range 2θ = 15–90°, sorted by position:
(hkl)  2θ (°)  intensity
1 0 1  15.2  48
0 1 2  16.3  90
0 0 6  20.4  51
0 0 9  30.8  77
0 2 4  33.0  100
1 2 2  40.6  28
2 0 8  40.9  46
1 2 5  43.7  29
0 3 3  46.8  26
2 2 0  53.2  24

Crystal structure
Lattice parameters (Å, degrees): 6.8915 6.8915 26.1169 90.00 90.00 120.00
Space group R-3m (No. 166, hexagonal axes)
Inequivalent atoms, fractional coordinates:
Sr: 0.0000 0.0000 0.2074 (multiplicity 6)
Ge: 0.0000 0.0000 0.4525 (multiplicity 6)
Bi: 0.0000 0.0000 0.0000 (multiplicity 3)
Au: 0.0600 0.5300 0.7606 (multiplicity 18)

=====

# 6
Structure and computed X-ray diffraction stick pattern of TlGeBiAu3 (a crystal structure in Alexandria, relaxed with GGA-PBE; a wavelength of 1.5418 Å).
No peak broadening, texture or thermal motion is included.

Principal peaks in the range 2θ = 15–90°, sorted by position:
(hkl)  2θ (°)  intensity
1 1 1  20.5  34
0 2 2  28.6  25
1 3 1  28.8  70
2 0 -2  33.3  72
0 4 2  38.1  55
2 0 2  39.0  100
2 4 -1  39.8  16
1 3 -3  43.8  21
0 0 4  50.7  24
4 0 0  53.8  19

Crystal structure
Lattice parameters (Å, degrees): 6.9005 12.5278 7.2852 90.00 98.75 90.00
Space group C2/c (No. 15)
Inequivalent atoms, fractional coordinates:
Tl: 0.0000 0.2435 0.2500 (multiplicity 4)
Ge: 0.0000 0.4818 0.7500 (multiplicity 4)
Bi: 0.0000 0.0469 0.7500 (multiplicity 4)
Au: 0.0000 0.2744 0.7500 (multiplicity 4)
Au: 0.2185 0.4095 0.5105 (multiplicity 8)

=====

# 7
Structure and computed X-ray diffraction stick pattern of BiHAu (a crystal structure in Alexandria, relaxed with GGA-PBE; a wavelength of 1.5418 Å).
No peak broadening, texture or thermal motion is included.

Principal peaks in the range 2θ = 15–90°, sorted by position:
(hkl)  2θ (°)  intensity
2 0 0  17.1  21
2 2 0  24.3  51
2 0 1  25.4  32
2 1 1  26.9  69
3 0 1  32.1  23
3 1 1  33.2  87
3 2 1  36.6  100
4 2 1  43.5  43
5 1 0  44.7  42
5 1 2  59.9  22

Crystal structure
Lattice parameters (Å, degrees): 10.3448 10.3448 4.7592 90.00 90.00 90.00
Space group P-42_1c (No. 114)
Inequivalent atoms, fractional coordinates:
Bi: 0.0284 0.2953 0.3440 (multiplicity 8)
H: 0.1022 0.6084 0.5541 (multiplicity 8)
Au: 0.0743 0.1246 0.7990 (multiplicity 8)

=====

# 8
Structure and computed X-ray diffraction stick pattern of Bi2HPd4Au2 (a crystal structure in Alexandria, relaxed with GGA-PBE; a wavelength of 1.5418 Å).
No peak broadening, texture or thermal motion is included.

Principal peaks in the range 2θ = 15–90°, sorted by position:
(hkl)  2θ (°)  intensity
0 0 2  20.1  7
2 0 0  29.9  9
1 0 3  34.0  11
2 0 2  36.3  100
0 0 4  40.9  13
2 2 0  42.8  35
2 2 4  60.7  16
4 0 0  62.1  11
4 2 2  74.1  24
4 0 4  77.1  8

Crystal structure
Lattice parameters (Å, degrees): 5.9763 5.9763 8.8181 90.00 90.00 90.00
Space group I4/mmm (No. 139)
Inequivalent atoms, fractional coordinates:
Bi: 0.0000 0.0000 0.2042 (multiplicity 4)
H: 0.0000 0.0000 0.5000 (multiplicity 2)
Pd: 0.2338 0.2338 0.5000 (multiplicity 8)
Au: 0.0000 0.5000 0.2500 (multiplicity 4)

=====

What is the formula in the seventh record?
BiHAu

=====

What did the eighth record say?
Structure and computed X-ray diffraction stick pattern of Bi2HPd4Au2 (a crystal structure in Alexandria, relaxed with GGA-PBE; a wavelength of 1.5418 Å).
No peak broadening, texture or thermal motion is included.

Principal peaks in the range 2θ = 15–90°, sorted by position:
(hkl)  2θ (°)  intensity
0 0 2  20.1  7
2 0 0  29.9  9
1 0 3  34.0  11
2 0 2  36.3  100
0 0 4  40.9  13
2 2 0  42.8  35
2 2 4  60.7  16
4 0 0  62.1  11
4 2 2  74.1  24
4 0 4  77.1  8

Crystal structure
Lattice parameters (Å, degrees): 5.9763 5.9763 8.8181 90.00 90.00 90.00
Space group I4/mmm (No. 139)
Inequivalent atoms, fractional coordinates:
Bi: 0.0000 0.0000 0.2042 (multiplicity 4)
H: 0.0000 0.0000 0.5000 (multiplicity 2)
Pd: 0.2338 0.2338 0.5000 (multiplicity 8)
Au: 0.0000 0.5000 0.2500 (multiplicity 4)